No. 1
The following is a theoretical powder diffractogram of Li5Zn2Au5. It was derived from the GGA-PBE geometry in Alexandria, using CuKα.
Kinematic intensities with the Lorentz-polarization factor, no thermal factor.

Top 8 peaks for 2θ from 15° to 90°, in order of rising 2θ:
- 2θ 25.19, d = 3.536 Å, I 69
- 2θ 26.34, d = 3.384 Å, I 43
- 2θ 29.20, d = 3.058 Å, I 34
- 2θ 30.87, d = 2.897 Å, I 39
- 2θ 40.41, d = 2.232 Å, I 100
- 2θ 40.85, d = 2.209 Å, I 70
- 2θ 57.11, d = 1.613 Å, I 29
- 2θ 73.79, d = 1.284 Å, I 25

Crystal structure
```
data_Li5Zn2Au5
_cell_length_a 7.727
_cell_length_b 4.466
_cell_length_c 11.946
_cell_angle_alpha 90.00
_cell_angle_beta 102.44
_cell_angle_gamma 90.00
_space_group_name_H-M_alt 'C 1 2/m 1'
_space_group_IT_number 12
loop_
_space_group_symop_operation_xyz
'x,y,z'
'-x,-y,-z'
'-x,y,-z'
'x,-y,z'
'x+1/2,y+1/2,z'
'-x+1/2,-y+1/2,-z'
'-x+1/2,y+1/2,-z'
'x+1/2,-y+1/2,z'
loop_
_atom_site_label
_atom_site_type_symbol
_atom_site_fract_x
_atom_site_fract_y
_atom_site_fract_z
_atom_site_occupancy
Li1 Li 0.000 0.000 0.000 1
Li2 Li 0.190 0.000 0.573 1
Li3 Li 0.226 0.500 0.174 1
Zn1 Zn 0.071 0.500 0.721 1
Au1 Au 0.000 0.500 0.500 1
Au2 Au 0.109 0.000 0.321 1
Au3 Au 0.146 0.500 0.940 1
```


No. 2
The following is a theoretical powder diffractogram of CrGaBr2. It was derived from the GGA-PBE geometry in Alexandria, using CuKα.
Kinematic intensities with the Lorentz-polarization factor, no thermal factor.

Top 8 peaks for 2θ from 15° to 90°, in order of rising 2θ:
- 2θ 28.49, d = 3.132 Å, I 20
- 2θ 28.87, d = 3.093 Å, I 100
- 2θ 32.87, d = 2.724 Å, I 58
- 2θ 44.31, d = 2.044 Å, I 47
- 2θ 47.18, d = 1.927 Å, I 16
- 2θ 54.34, d = 1.688 Å, I 30
- 2θ 61.40, d = 1.510 Å, I 10
- 2θ 74.77, d = 1.270 Å, I 14

Crystal structure
```
data_CrGaBr2
_cell_length_a 7.706
_cell_length_b 7.706
_cell_length_c 7.513
_cell_angle_alpha 90.00
_cell_angle_beta 90.00
_cell_angle_gamma 90.00
_space_group_name_H-M_alt 'I -4 2 d'
_space_group_IT_number 122
_space_group_name_Hall 'I -4 2bw'
loop_
_atom_site_label
_atom_site_type_symbol
_atom_site_fract_x
_atom_site_fract_y
_atom_site_fract_z
_atom_site_occupancy
Cr1 Cr 0.000 0.000 0.000 1
Ga1 Ga 0.000 0.000 0.500 1
Br1 Br 0.199 0.250 0.125 1
```


No. 3
The following is a theoretical powder diffractogram of Ba3DyCd4. It was derived from the GGA-PBE geometry in Alexandria, using CuKα.
Kinematic intensities with the Lorentz-polarization factor, no thermal factor.

Top 8 peaks for 2θ from 15° to 90°, in order of rising 2θ:
- 2θ 30.54, d = 2.927 Å, I 100
- 2θ 31.19, d = 2.867 Å, I 57
- 2θ 44.70, d = 2.028 Å, I 21
- 2θ 53.88, d = 1.702 Å, I 11
- 2θ 55.10, d = 1.667 Å, I 37
- 2θ 63.58, d = 1.463 Å, I 7
- 2θ 73.56, d = 1.288 Å, I 8
- 2θ 73.91, d = 1.282 Å, I 9

Crystal structure
```
data_Ba3DyCd4
_cell_length_a 4.055
_cell_length_b 4.055
_cell_length_c 16.915
_cell_angle_alpha 90.00
_cell_angle_beta 90.00
_cell_angle_gamma 90.00
_space_group_name_H-M_alt 'P 4/m m m'
_space_group_IT_number 123
_space_group_name_Hall '-P 4 2'
loop_
_atom_site_label
_atom_site_type_symbol
_atom_site_fract_x
_atom_site_fract_y
_atom_site_fract_z
_atom_site_occupancy
Ba1 Ba 0.000 0.000 0.000 1
Ba2 Ba 0.000 0.000 0.267 1
Dy1 Dy 0.000 0.000 0.500 1
Cd1 Cd 0.500 0.500 0.132 1
Cd2 Cd 0.500 0.500 0.405 1
```


No. 4
The following is a theoretical powder diffractogram of SrCe4Te5. It was derived from the GGA-PBE geometry in Alexandria, using CuKα.
Kinematic intensities with the Lorentz-polarization factor, no thermal factor.

Top 8 peaks for 2θ from 15° to 90°, in order of rising 2θ:
- 2θ 27.79, d = 3.210 Å, I 100
- 2θ 39.71, d = 2.270 Å, I 76
- 2θ 49.16, d = 1.853 Å, I 28
- 2θ 57.47, d = 1.604 Å, I 9
- 2θ 64.87, d = 1.437 Å, I 12
- 2θ 65.01, d = 1.435 Å, I 24
- 2θ 72.00, d = 1.312 Å, I 8
- 2θ 72.11, d = 1.310 Å, I 17

Crystal structure
```
data_SrCe4Te5
_cell_length_a 4.536
_cell_length_b 4.536
_cell_length_c 32.156
_cell_angle_alpha 90.00
_cell_angle_beta 90.00
_cell_angle_gamma 90.00
_space_group_name_H-M_alt 'I 4/m m m'
_space_group_IT_number 139
_space_group_name_Hall '-I 4 2'
loop_
_atom_site_label
_atom_site_type_symbol
_atom_site_fract_x
_atom_site_fract_y
_atom_site_fract_z
_atom_site_occupancy
Sr1 Sr 0.000 0.000 0.000 1
Ce1 Ce 0.000 0.000 0.201 1
Ce2 Ce 0.000 0.000 0.397 1
Te1 Te 0.000 0.000 0.101 1
Te2 Te 0.000 0.000 0.299 1
Te3 Te 0.000 0.000 0.500 1
```


> Which formula does entry 4 have?

SrCe4Te5